Entry 1:
The following is a computed powder diffractogram of Er3Ga5Co. It was derived from DFT lattice parameters and positions (PBE), using Cu Kα X-rays.
Neutral-atom scattering factors, no anomalous dispersion.

Principal peaks in the range 2θ from 10° to 80°, low angle first:
3.417 Å, 2θ = 26.1°, I 19; 2.650 Å, 2θ = 33.8°, I 100; 2.419 Å, 2θ = 37.2°, I 66; 2.236 Å, 2θ = 40.3°, I 36; 2.100 Å, 2θ = 43.1°, I 26; 1.973 Å, 2θ = 46.0°, I 28; 1.641 Å, 2θ = 56.0°, I 12; 1.531 Å, 2θ = 60.5°, I 22; 1.528 Å, 2θ = 60.6°, I 24; 1.438 Å, 2θ = 64.9°, I 12; 1.295 Å, 2θ = 73.0°, I 11; 1.292 Å, 2θ = 73.3°, I 27

Structure:
Cell: 6.832 6.832 4.200 Å, 90.00 90.00 120.00°
Positions (direct):
Er: 0.000 0.596 0.000
Er: 0.404 0.404 0.000
Er: 0.596 0.000 0.000
Ga: 0.000 0.232 0.500
Ga: 0.232 0.000 0.500
Ga: 0.333 0.667 0.500
Ga: 0.667 0.333 0.500
Ga: 0.768 0.768 0.500
Co: 0.000 0.000 0.000

***

Entry 2:
The following is a computed powder diffractogram of Mg5CuRe. It was derived from DFT lattice parameters and positions (PBE), using Cu Kα X-rays.
Neutral-atom scattering factors, no anomalous dispersion.

Principal peaks in the range 2θ from 10° to 80°, low angle first:
6.056 Å, 2θ = 14.6°, I 53; 5.017 Å, 2θ = 17.7°, I 100; 4.524 Å, 2θ = 19.6°, I 48; 4.216 Å, 2θ = 21.1°, I 83; 3.797 Å, 2θ = 23.4°, I 58; 3.228 Å, 2θ = 27.6°, I 32; 2.909 Å, 2θ = 30.7°, I 35; 2.509 Å, 2θ = 35.8°, I 32; 2.338 Å, 2θ = 38.5°, I 61; 2.264 Å, 2θ = 39.8°, I 29; 2.156 Å, 2θ = 41.9°, I 28; 1.952 Å, 2θ = 46.5°, I 35

Structure:
Cell: 6.783 6.783 6.783 Å, 111.92 84.60 136.12°
Positions (direct):
Mg: 0.000 0.000 0.000
Mg: 0.109 0.359 0.749
Mg: 0.298 0.615 0.317
Mg: 0.298 0.981 0.683
Mg: 0.610 0.359 0.251
Cu: 0.789 0.289 0.500
Re: 0.496 0.496 0.000

***

Entry 3:
The following is a computed powder diffractogram of Li4SmOsO6. It was derived from DFT lattice parameters and positions (PBE), using Cu Kα X-rays.
Neutral-atom scattering factors, no anomalous dispersion.

Principal peaks in the range 2θ from 10° to 80°, low angle first:
4.939 Å, 2θ = 18.0°, I 100; 4.720 Å, 2θ = 18.8°, I 23; 4.478 Å, 2θ = 19.8°, I 43; 3.923 Å, 2θ = 22.7°, I 31; 3.412 Å, 2θ = 26.1°, I 20; 2.676 Å, 2θ = 33.5°, I 41; 2.637 Å, 2θ = 34.0°, I 21; 2.542 Å, 2θ = 35.3°, I 35; 2.200 Å, 2θ = 41.0°, I 45; 2.156 Å, 2θ = 41.9°, I 21; 1.992 Å, 2θ = 45.5°, I 17; 1.557 Å, 2θ = 59.3°, I 16

Structure:
Cell: 5.432 5.432 5.222 Å, 99.26 99.26 120.64°
Positions (direct):
Li: 0.000 0.000 0.000
Li: 0.384 0.616 0.000
Li: 0.682 0.318 0.000
Li: 0.855 0.145 0.500
Sm: 0.190 0.810 0.500
Os: 0.521 0.479 0.500
O: 0.139 0.390 0.256
O: 0.285 0.258 0.734
O: 0.458 0.115 0.257
O: 0.610 0.861 0.744
O: 0.742 0.715 0.266
O: 0.885 0.542 0.743

***

Entry 4:
The following is a computed powder diffractogram of Lu2Sc4Cu3N3. It was derived from DFT lattice parameters and positions (PBE), using Cu Kα X-rays.
Neutral-atom scattering factors, no anomalous dispersion.

Principal peaks in the range 2θ from 10° to 80°, low angle first:
4.764 Å, 2θ = 18.6°, I 31; 3.153 Å, 2θ = 28.3°, I 23; 2.973 Å, 2θ = 30.1°, I 35; 2.771 Å, 2θ = 32.3°, I 22; 2.717 Å, 2θ = 33.0°, I 36; 2.657 Å, 2θ = 33.7°, I 24; 2.395 Å, 2θ = 37.6°, I 33; 2.383 Å, 2θ = 37.7°, I 81; 2.373 Å, 2θ = 37.9°, I 100; 2.309 Å, 2θ = 39.0°, I 27; 2.160 Å, 2θ = 41.8°, I 22; 1.600 Å, 2θ = 57.6°, I 22

Structure:
Cell: 5.544 5.544 14.240 Å, 101.54 101.54 59.92°
Positions (direct):
Lu: 0.038 0.874 0.611
Lu: 0.126 0.962 0.889
Lu: 0.874 0.038 0.111
Lu: 0.962 0.126 0.389
Sc: 0.195 0.358 0.085
Sc: 0.300 0.476 0.415
Sc: 0.358 0.195 0.585
Sc: 0.476 0.300 0.915
Sc: 0.524 0.700 0.085
Sc: 0.642 0.805 0.415
Sc: 0.700 0.524 0.585
Sc: 0.805 0.642 0.915
Cu: 0.086 0.397 0.750
Cu: 0.397 0.086 0.250
Cu: 0.429 0.571 0.250
Cu: 0.571 0.429 0.750
Cu: 0.603 0.914 0.750
Cu: 0.914 0.603 0.250
N: 0.000 0.500 0.500
N: 0.165 0.669 0.000
N: 0.331 0.835 0.500
N: 0.500 0.000 0.000
N: 0.669 0.165 0.500
N: 0.835 0.331 0.000

***

Entry 5:
The following is a computed powder diffractogram of Tm3BO3F3. It was derived from DFT lattice parameters and positions (PBE), using Cu Kα X-rays.
Neutral-atom scattering factors, no anomalous dispersion.

Principal peaks in the range 2θ from 10° to 80°, low angle first:
7.435 Å, 2θ = 11.9°, I 48; 3.222 Å, 2θ = 27.7°, I 100; 2.814 Å, 2θ = 31.8°, I 71; 2.808 Å, 2θ = 31.9°, I 69; 2.791 Å, 2θ = 32.1°, I 72; 2.748 Å, 2θ = 32.6°, I 44; 2.578 Å, 2θ = 34.8°, I 55; 2.569 Å, 2θ = 34.9°, I 28; 2.213 Å, 2θ = 40.8°, I 25; 2.203 Å, 2θ = 41.0°, I 45; 1.789 Å, 2θ = 51.1°, I 51; 1.509 Å, 2θ = 61.4°, I 45

Structure:
Cell: 8.531 3.577 8.561 Å, 90.00 119.55 90.00°
Positions (direct):
Tm: 0.071 0.250 0.354
Tm: 0.217 0.750 0.070
Tm: 0.355 0.750 0.781
Tm: 0.645 0.250 0.219
Tm: 0.783 0.250 0.930
Tm: 0.929 0.750 0.646
B: 0.167 0.250 0.833
B: 0.833 0.750 0.167
O: 0.016 0.250 0.877
O: 0.124 0.250 0.639
O: 0.361 0.250 0.984
O: 0.639 0.750 0.016
O: 0.876 0.750 0.361
O: 0.984 0.750 0.123
F: 0.253 0.750 0.484
F: 0.267 0.250 0.251
F: 0.486 0.250 0.732
F: 0.514 0.750 0.268
F: 0.733 0.750 0.749
F: 0.747 0.250 0.516

***

Entry 6:
The following is a computed powder diffractogram of ScGeAuSe2S. It was derived from DFT lattice parameters and positions (PBE), using Cu Kα X-rays.
Neutral-atom scattering factors, no anomalous dispersion.

Principal peaks in the range 2θ from 10° to 80°, low angle first:
6.974 Å, 2θ = 12.7°, I 18; 5.767 Å, 2θ = 15.4°, I 18; 4.131 Å, 2θ = 21.5°, I 27; 3.722 Å, 2θ = 23.9°, I 19; 3.495 Å, 2θ = 25.5°, I 36; 2.971 Å, 2θ = 30.1°, I 100; 2.565 Å, 2θ = 35.0°, I 47; 2.069 Å, 2θ = 43.8°, I 38; 1.941 Å, 2θ = 46.8°, I 55; 1.931 Å, 2θ = 47.1°, I 17; 1.543 Å, 2θ = 60.0°, I 16; 1.255 Å, 2θ = 75.8°, I 15

Structure:
Cell: 7.236 7.236 10.257 Å, 90.00 90.00 149.04°
Positions (direct):
Sc: 0.000 0.000 0.000
Sc: 0.000 0.000 0.500
Ge: 0.324 0.676 0.750
Ge: 0.676 0.324 0.250
Au: 0.325 0.675 0.250
Au: 0.675 0.325 0.750
Se: 0.365 0.635 0.016
Se: 0.365 0.635 0.484
Se: 0.635 0.365 0.516
Se: 0.635 0.365 0.984
S: 0.054 0.946 0.250
S: 0.946 0.054 0.750